Theoretical PXRD pattern
Compound: CaTmGa4
Radiation: Cu Kα X-rays
Structure: a cell relaxed with GGA-PBE
Neutral-atom scattering factors, no anomalous dispersion.

Structure:
Cell lengths 4.341, 7.070, 8.065 Å; angles 90.00, 90.00, 90.00 degrees
Space group Imm2 (No. 44)
Asymmetric unit:
Ca 0.000 0.000 0.000 x2
Tm 0.000 0.500 0.896 x2
Ga 0.000 0.198 0.606 x4
Ga 0.000 0.302 0.281 x4

Peak list (12 most intense, 2θ = 10–90°, low angle first)
2theta, Rel. int., hkl
16.7, 40, 0 1 1
24.1, 18, 1 1 0
32.9, 59, 1 1 2
33.7, 41, 0 2 2
34.6, 100, 1 2 1
39.4, 61, 1 0 3
39.9, 28, 0 3 1
41.6, 36, 2 0 0
54.6, 20, 2 2 2
59.0, 18, 2 3 1
64.5, 24, 1 3 4
74.4, 25, 3 0 3